(1)
Tl2PO5: theoretical powder XRD pattern (Cu Kα X-rays), based on a crystal structure in Alexandria, relaxed with PBE.
Kinematic intensities with the Lorentz-polarization factor, no thermal factor.

Structural model:
Lattice parameters (Å, degrees): 8.0874 8.0874 11.0785 118.00 118.00 52.15
Sites, in units of the cell vectors:
Tl  0.0457  0.2433  0.8393
Tl  0.1972  0.7205  0.5186
Tl  0.2433  0.0457  0.3393
Tl  0.2795  0.8028  0.9814
Tl  0.7205  0.1972  0.0186
Tl  0.7567  0.9543  0.6607
Tl  0.8028  0.2795  0.4814
Tl  0.9543  0.7567  0.1607
P  0.2410  0.4033  0.6930
P  0.4033  0.2410  0.1930
P  0.5967  0.7590  0.8070
P  0.7590  0.5967  0.3070
O  0.0637  0.9108  0.1112
O  0.0790  0.3596  0.6948
O  0.0892  0.9363  0.3888
O  0.1061  0.6135  0.6418
O  0.2113  0.3809  0.0864
O  0.3596  0.0790  0.1948
O  0.3809  0.2113  0.5864
O  0.3865  0.8939  0.8582
O  0.3936  0.4347  0.8439
O  0.4347  0.3936  0.3439
O  0.5653  0.6064  0.6561
O  0.6064  0.5653  0.1561
O  0.6135  0.1061  0.1418
O  0.6191  0.7887  0.4136
O  0.6404  0.9210  0.8052
O  0.7887  0.6191  0.9136
O  0.8939  0.3865  0.3582
O  0.9108  0.0637  0.6112
O  0.9210  0.6404  0.3052
O  0.9363  0.0892  0.8888

Top 6 peaks for 2θ = 10–90°, by angle:
- 14.34°, rel. 80
- 22.29°, rel. 83
- 24.81°, rel. 59
- 26.80°, rel. 54
- 28.06°, rel. 70
- 29.16°, rel. 100

(2)
Tl2PO4: theoretical powder XRD pattern (Cu Kα X-rays), based on a crystal structure in Alexandria, relaxed with PBE.
Kinematic intensities with the Lorentz-polarization factor, no thermal factor.

Structural model:
Lattice parameters (Å, degrees): 5.0464 6.1772 18.1888 90.00 105.95 90.00
Sites, in units of the cell vectors:
Tl  0.0000  0.1498  0.0000
Tl  0.0000  0.8502  0.5000
Tl  0.4001  0.2303  0.2436
Tl  0.4001  0.7697  0.7436
Tl  0.5447  0.3472  0.4998
Tl  0.5447  0.6528  0.9998
Tl  0.9113  0.2333  0.7562
Tl  0.9113  0.7667  0.2562
P  0.0081  0.3448  0.3817
P  0.0081  0.6552  0.8817
P  0.2437  0.3472  0.6181
P  0.2437  0.6528  0.1181
O  0.1811  0.4510  0.9178
O  0.1811  0.5490  0.4178
O  0.1882  0.1430  0.4162
O  0.1882  0.8570  0.9162
O  0.3457  0.4491  0.0818
O  0.3457  0.5509  0.5818
O  0.3503  0.3539  0.7063
O  0.3503  0.6461  0.2063
O  0.3552  0.1449  0.5836
O  0.3552  0.8551  0.0836
O  0.7204  0.3387  0.3999
O  0.7204  0.6613  0.8999
O  0.9201  0.3411  0.5998
O  0.9201  0.6589  0.0998
O  0.9394  0.3511  0.2934
O  0.9394  0.6489  0.7934

Top 6 peaks for 2θ = 10–90°, by angle:
- 20.31°, rel. 61
- 22.75°, rel. 67
- 24.96°, rel. 28
- 30.68°, rel. 100
- 35.59°, rel. 30
- 47.72°, rel. 25

(3)
TlPO3: theoretical powder XRD pattern (Cu Kα X-rays), based on a crystal structure in Alexandria, relaxed with PBE.
Kinematic intensities with the Lorentz-polarization factor, no thermal factor.

Structural model:
Lattice parameters (Å, degrees): 7.7869 7.7869 11.4409 90.00 90.00 90.00
Sites, in units of the cell vectors:
Tl  0.0000  0.0000  0.1663
Tl  0.0000  0.0000  0.8337
Tl  0.0000  0.5000  0.2190
Tl  0.0000  0.5000  0.7190
Tl  0.5000  0.0000  0.2810
Tl  0.5000  0.0000  0.7810
Tl  0.5000  0.5000  0.3337
Tl  0.5000  0.5000  0.6663
P  0.1551  0.2164  0.4688
P  0.2164  0.8449  0.5312
P  0.2836  0.3449  0.9688
P  0.3449  0.7164  0.0312
P  0.6551  0.2836  0.0312
P  0.7164  0.6551  0.9688
P  0.7836  0.1551  0.5312
P  0.8449  0.7836  0.4688
O  0.0520  0.8018  0.4489
O  0.1267  0.3036  0.0396
O  0.1964  0.3733  0.5396
O  0.1982  0.0520  0.5511
O  0.1981  0.7703  0.6521
O  0.2297  0.1981  0.3479
O  0.2703  0.6981  0.1521
O  0.3019  0.2703  0.8479
O  0.3018  0.5520  0.9489
O  0.3036  0.8733  0.9604
O  0.3733  0.8036  0.4604
O  0.4480  0.3018  0.0511
O  0.5520  0.6982  0.0511
O  0.6267  0.1964  0.4604
O  0.6964  0.1267  0.9604
O  0.6982  0.4480  0.9489
O  0.6981  0.7297  0.8479
O  0.7297  0.3019  0.1521
O  0.7703  0.8019  0.3479
O  0.8019  0.2297  0.6521
O  0.8018  0.9480  0.5511
O  0.8036  0.6267  0.5396
O  0.8733  0.6964  0.0396
O  0.9480  0.1982  0.4489

Top 6 peaks for 2θ = 10–90°, by angle:
- 22.84°, rel. 73
- 26.02°, rel. 54
- 27.72°, rel. 100
- 32.52°, rel. 57
- 35.39°, rel. 43
- 36.21°, rel. 40

(4)
TlP2O2: theoretical powder XRD pattern (Cu Kα X-rays), based on a crystal structure in Alexandria, relaxed with PBE.
Kinematic intensities with the Lorentz-polarization factor, no thermal factor.

Structural model:
Lattice parameters (Å, degrees): 3.6990 3.6990 4.7771 90.00 90.00 90.00
Sites, in units of the cell vectors:
Tl  0.0000  0.0000  0.0000
P  0.5000  0.5000  0.0000
P  0.5000  0.5000  0.5000
O  0.0000  0.5000  0.5000
O  0.5000  0.0000  0.5000

Top 6 peaks for 2θ = 10–90°, by angle:
- 18.57°, rel. 55
- 24.06°, rel. 41
- 30.57°, rel. 100
- 34.28°, rel. 48
- 39.27°, rel. 69
- 63.63°, rel. 38